# 1
This entry pairs a crystal structure of Sm2Te3F with its theoretical powder XRD pattern. Radiation: Cu Kα X-rays. Structure: DFT lattice parameters and positions (PBE).
Intensities are scaled so that the largest is 100.

Structural model:
a b c (Å): 11.8619 4.2232 13.2048
angles (deg): 90.00 90.00 90.00
Space group Pnma (No. 62)
Asymmetric unit:
Sm  0.0585  0.2500  0.1740 x4
Sm  0.1958  0.2500  0.5208 x4
Te  0.0687  0.7500  0.3782 x4
Te  0.1213  0.2500  0.9339 x4
Te  0.1688  0.7500  0.6952 x4
F  0.1356  0.7500  0.1293 x4

Most intense lines, 5 to 70 degrees two-theta, low angle first:
2θ 26.15, 3.408 Å, I 19, hkl 1 1 2; 2θ 29.30, 3.049 Å, I 100, hkl 0 1 3; 2θ 30.28, 2.952 Å, I 65, hkl 1 1 3; 2θ 30.94, 2.891 Å, I 67, hkl 4 0 1; 2θ 31.73, 2.820 Å, I 70, hkl 3 1 1; 2θ 33.90, 2.645 Å, I 29, hkl 3 1 2; 2θ 35.39, 2.536 Å, I 29, hkl 3 0 4; 2θ 37.27, 2.413 Å, I 27, hkl 2 0 5; 2θ 39.56, 2.278 Å, I 41, hkl 4 1 2; 2θ 41.09, 2.197 Å, I 27, hkl 3 0 5; 2θ 42.83, 2.112 Å, I 40, hkl 0 2 0; 2θ 53.76, 1.705 Å, I 36, hkl 4 2 1

=====

# 2
This entry pairs a crystal structure of Ca3InAu4 with its theoretical powder XRD pattern. Radiation: Cu Kα X-rays. Structure: DFT lattice parameters and positions (PBE).
Intensities are scaled so that the largest is 100.

Structural model:
a b c (Å): 5.0794 5.0794 24.8394
angles (deg): 90.00 90.00 120.00
Space group R-3m (No. 166, hexagonal axes)
Asymmetric unit:
Ca  0.0000  0.0000  0.0000 x3
Ca  0.0000  0.0000  0.2450 x6
In  0.0000  0.0000  0.5000 x3
Au  0.0000  0.0000  0.1230 x6
Au  0.0000  0.0000  0.3734 x6

Most intense lines, 5 to 70 degrees two-theta, low angle first:
2θ 10.68, 8.280 Å, I 1, hkl 0 0 3; 2θ 20.50, 4.332 Å, I 1, hkl 1 0 1; 2θ 21.44, 4.145 Å, I 1, hkl 0 1 2; 2θ 24.80, 3.590 Å, I 34, hkl 1 0 4; 2θ 27.08, 3.293 Å, I 1, hkl 0 1 5; 2θ 32.42, 2.762 Å, I 1, hkl 1 0 7; 2θ 35.36, 2.538 Å, I 100, hkl 1 1 0; 2θ 43.68, 2.072 Å, I 11, hkl 0 2 4; 2θ 50.88, 1.795 Å, I 18, hkl 2 0 8; 2θ 57.40, 1.605 Å, I 15, hkl 2 1 4; 2θ 63.46, 1.466 Å, I 27, hkl 3 0 0; 2θ 63.55, 1.464 Å, I 9, hkl 1 0 16